Simulated X-ray diffraction stick pattern of Li3MnVP4O14 for CuKα, from a crystal structure in the Materials Project, relaxed with PBE+U.

Atomic structure:
Unit cell a=7.237 b=9.769 c=9.796 alpha=117.89 beta=100.56 gamma=101.85
Space group P1 (No. 1)
Asymmetric unit:
Li 0.000 0.000 0.000 x1
Li 0.000 0.499 0.500 x1
Li 0.247 0.253 0.449 x1
Li 0.248 0.753 0.948 x1
Li 0.681 0.768 0.273 x1
Li 0.682 0.268 0.774 x1
Mn 0.073 0.342 0.715 x1
Mn 0.073 0.842 0.215 x1
V 0.618 0.081 0.934 x1
V 0.619 0.581 0.434 x1
P 0.262 0.546 0.121 x1
P 0.263 0.046 0.621 x1
P 0.431 0.172 0.232 x1
P 0.431 0.671 0.731 x1
P 0.818 0.110 0.281 x1
P 0.819 0.610 0.781 x1
P 0.865 0.487 0.165 x1
P 0.865 0.986 0.665 x1
O 0.101 0.011 0.708 x1
O 0.101 0.512 0.208 x1
O 0.205 0.399 0.951 x1
O 0.206 0.899 0.451 x1
O 0.232 0.064 0.219 x1
O 0.232 0.563 0.716 x1
O 0.269 0.206 0.623 x1
O 0.269 0.706 0.122 x1
O 0.436 0.151 0.070 x1
O 0.437 0.652 0.570 x1
O 0.460 0.574 0.237 x1
O 0.461 0.074 0.737 x1
O 0.464 0.847 0.870 x1
O 0.465 0.348 0.370 x1
O 0.599 0.110 0.298 x1
O 0.599 0.610 0.797 x1
O 0.758 0.319 0.004 x1
O 0.759 0.818 0.504 x1
O 0.818 0.491 0.314 x1
O 0.818 0.990 0.814 x1
O 0.822 0.106 0.122 x1
O 0.823 0.605 0.622 x1
O 0.833 0.127 0.647 x1
O 0.833 0.628 0.148 x1
O 0.837 0.954 0.270 x1
O 0.839 0.454 0.772 x1
O 0.973 0.268 0.430 x1
O 0.974 0.768 0.930 x1

Main lines, in order of rising 2θ (2θ from 10° to 90°):
2θ (°), intensity, index
16.8, 100, 1 -1 1
17.1, 85, 1 1 -1
21.4, 26, 1 -2 0
21.7, 48, 0 0 2
21.8, 40, 0 2 0
26.2, 39, -2 1 1
28.3, 31, 2 -2 0
28.4, 35, 2 0 -2
28.5, 60, 0 1 -3
28.7, 55, 0 3 -1
29.0, 22, 1 0 2
29.2, 35, 1 2 0